# LiMnPH2O5
Simulated XRD peak list, Cu Kα (weighted mean of Kα1 and Kα2). Input: a PBE+U-relaxed structure.
Lines closer than 0.1° are merged.

Principal peaks in the range 2θ = 5–70°, in order of rising 2θ:
d_spacing	Rel. int.	index
8.205	100	0 0 1
4.276	27	1 0 -1
3.712	23	1 1 -1
3.174	15	-1 1 1
2.922	29	1 1 2
2.829	17	0 2 0
2.675	6	0 2 1
2.637	9	1 -1 2
2.399	6	1 0 3
2.201	7	1 -2 1

Crystal structure
Unit cell a=5.103 b=5.763 c=8.205 alpha=89.94 beta=89.94 gamma=79.08
Positions (direct):
Li  0.000  0.000  0.000
Li  0.500  0.500  0.079
Mn  0.190  0.149  0.587
Mn  0.691  0.649  0.493
P  0.236  0.628  0.759
P  0.737  0.128  0.320
H  0.193  0.719  0.315
H  0.336  0.444  0.334
H  0.692  0.218  0.765
H  0.835  0.943  0.746
O  0.250  0.702  0.939
O  0.368  0.605  0.303
O  0.369  0.797  0.648
O  0.387  0.370  0.731
O  0.442  0.149  0.376
O  0.751  0.203  0.141
O  0.867  0.104  0.777
O  0.870  0.298  0.431
O  0.888  0.870  0.349
O  0.941  0.648  0.704